Structure and calculated X-ray diffraction stick pattern of V5W3O20 (a PBE+U-relaxed structure; a wavelength of 1.5418 Å).
Intensities are scaled so that the largest is 100.

Principal peaks in the range 15 to 90 degrees two-theta, sorted by position:
(hkl), Position (°2θ), I (rel.)
0 1 -1, 15.75, 53
1 0 0, 22.90, 100
0 2 2, 24.41, 86
0 0 4, 28.62, 46
0 2 -2, 31.79, 29
0 2 4, 31.90, 28
1 2 2, 33.68, 40
0 4 2, 47.71, 28

Unit cell a=3.884 b=7.626 c=13.033 alpha=73.18 beta=89.51 gamma=89.92
Element x y z (fractional)
V1 0.000 0.000 0.000
V2 0.006 0.511 0.983
V3 0.014 0.007 0.486
V4 0.850 0.342 0.802
V5 0.862 0.855 0.291
W1 0.889 0.856 0.787
W2 0.897 0.358 0.285
W3 0.971 0.505 0.500
O1 0.415 0.854 0.792
O2 0.422 0.356 0.293
O3 0.426 0.011 0.985
O4 0.431 0.355 0.791
O5 0.433 0.857 0.288
O6 0.434 0.506 0.989
O7 0.442 0.006 0.491
O8 0.446 0.505 0.495
O9 0.923 0.101 0.806
O10 0.923 0.268 0.951
O11 0.928 0.588 0.822
O12 0.929 0.431 0.141
O13 0.929 0.785 0.953
O14 0.929 0.919 0.642
O15 0.933 0.767 0.456
O16 0.935 0.278 0.461
O17 0.936 0.584 0.326
O18 0.937 0.439 0.646
O19 0.938 0.934 0.135
O20 0.939 0.095 0.324